# NaEu2AlP3
Simulated X-ray powder pattern, Cu Kα (weighted mean of Kα1 and Kα2). Input: a DFT-relaxed cell (PBE, the Materials Project).
Neutral-atom scattering factors, no anomalous dispersion.

The 12 most intense peaks (10° ≤ 2θ ≤ 80°), by intensity:
- 31.5°, I = 100
- 34.3°, I = 81
- 19.9°, I = 78
- 31.9°, I = 54
- 27.3°, I = 51
- 24.1°, I = 45
- 40.5°, I = 44
- 18.4°, I = 37
- 32.1°, I = 34
- 27.7°, I = 32
- 32.3°, I = 32
- 51.0°, I = 32

Atomic structure:
```
NaEu2AlP3
1.0
6.6913 -4.4511 0.0000
6.6913 4.4511 0.0000
-3.7071 0.0000 10.8341
Na Eu Al P
4 8 4 12
Cartesian
-2.5127 0.0000 8.2375
6.6913 2.6993 0.0000
6.6913 -2.6993 0.0000
12.1881 0.0000 2.5966
3.3456 2.2256 0.0000
1.6587 2.0500 7.3753
4.8377 2.1733 5.4170
8.0167 2.0500 3.4587
3.3456 -2.2256 0.0000
1.6587 -2.0500 7.3753
4.8377 -2.1733 5.4170
8.0167 -2.0500 3.4587
3.4980 0.0000 2.8792
5.8535 0.0000 1.2608
3.8219 0.0000 9.5733
6.1774 0.0000 7.9549
0.2939 0.0000 5.3560
1.6797 0.0000 1.4060
4.9733 1.8463 2.4761
2.6018 0.0000 5.1726
1.4492 0.0000 9.7406
4.7021 1.8463 8.3580
4.9733 -1.8463 2.4761
8.2262 0.0000 1.0935
7.0736 0.0000 5.6615
4.7021 -1.8463 8.3580
7.9957 0.0000 9.4281
9.3815 0.0000 5.4780
```